# Li3Mn4B4O12
Calculated powder diffractogram, a wavelength of 1.5418 Å. Input: the GGA+U geometry in Alexandria.
No peak broadening, texture or thermal motion is included.

Top 10 peaks for 10 to 90 degrees two-theta, by angle:
hkl 0 1 -1, 20.25°, intensity 98.1; hkl 1 0 -1, 20.84°, intensity 29.2; hkl 1 1 0, 22.01°, intensity 50.0; hkl 1 -1 0, 22.55°, intensity 79.2; hkl 0 2 2, 33.89°, intensity 100.0; hkl 1 -1 2, 34.05°, intensity 66.7; hkl 1 1 -2, 34.70°, intensity 29.6; hkl 1 2 -1, 37.69°, intensity 26.8; hkl 2 1 -1, 40.01°, intensity 27.1; hkl 2 0 2, 40.76°, intensity 63.6

Atomic structure:
a b c (Å): 5.2803 6.2215 7.8149
angles (deg): 78.98 87.32 88.13
Space group P1 (No. 1)
Symmetry-distinct sites (fractional):
Li 0.0000 0.0000 0.0000 x1
Li 0.1686 0.7300 0.6111 x1
Li 0.5174 0.4929 0.4828 x1
Mn 0.0086 0.2794 0.6242 x1
Mn 0.1716 0.4315 0.9850 x1
Mn 0.5013 0.7952 0.1089 x1
Mn 0.6781 0.9475 0.4640 x1
B 0.0135 0.6266 0.2924 x1
B 0.1677 0.0730 0.3037 x1
B 0.5107 0.1221 0.7887 x1
B 0.6703 0.6131 0.8014 x1
O 0.0242 0.1861 0.1761 x1
O 0.0702 0.0149 0.4760 x1
O 0.1328 0.7062 0.1285 x1
O 0.1566 0.5292 0.4300 x1
O 0.2558 0.1619 0.8279 x1
O 0.4171 0.9997 0.2688 x1
O 0.5269 0.6938 0.6591 x1
O 0.5473 0.5686 0.9689 x1
O 0.6152 0.2038 0.6212 x1
O 0.6666 0.0067 0.9132 x1
O 0.7538 0.6636 0.3090 x1
O 0.9255 0.5582 0.7814 x1